Structure and theoretical PXRD pattern of Li9Mn2Co5O16 (DFT lattice parameters and positions (PBE+U); Cu Kα).
Lines closer than 0.1° are merged.

Atomic structure:
```
data_Li9Mn2Co5O16
_cell_length_a 2.9939
_cell_length_b 8.1190
_cell_length_c 11.9781
_cell_angle_alpha 90.56
_cell_angle_beta 94.43
_cell_angle_gamma 90.91
_symmetry_space_group_name_H-M 'P 1'
_symmetry_Int_Tables_number 1
_symmetry_space_group_name_Hall 'P 1'
loop_
_atom_site_label
_atom_site_type_symbol
_atom_site_fract_x
_atom_site_fract_y
_atom_site_fract_z
_atom_site_occupancy
Li1 Li 0.0000 0.0000 0.0000 1
Li2 Li 0.0015 0.4948 0.2512 1
Li3 Li 0.4922 0.2394 0.6299 1
Li4 Li 0.4963 0.7455 0.8810 1
Li5 Li 0.4979 0.2464 0.8804 1
Li6 Li 0.4998 0.7457 0.3748 1
Li7 Li 0.5030 0.2499 0.1288 1
Li8 Li 0.9928 0.9988 0.5033 1
Li9 Li 0.9954 0.4868 0.7605 1
Mn1 Mn 0.9995 0.4931 0.5029 1
Mn2 Mn 0.4947 0.7491 0.6311 1
Co1 Co 0.0015 0.4862 0.9988 1
Co2 Co 0.4922 0.7408 0.1287 1
Co3 Co 0.5044 0.2458 0.3757 1
Co4 Co 0.9907 0.0069 0.7610 1
Co5 Co 0.9943 0.9938 0.2514 1
O1 O 0.0043 0.2209 0.7516 1
O2 O 0.0240 0.7359 0.5070 1
O3 O 0.0252 0.7251 0.0111 1
O4 O 0.0284 0.2412 0.2607 1
O5 O 0.4720 0.5052 0.6273 1
O6 O 0.4777 0.9960 0.8711 1
O7 O 0.4794 0.5071 0.1194 1
O8 O 0.4939 0.0074 0.3694 1
O9 O 0.4980 0.9812 0.1334 1
O10 O 0.5173 0.9870 0.6349 1
O11 O 0.5181 0.4836 0.3833 1
O12 O 0.5260 0.4966 0.8875 1
O13 O 0.9648 0.7471 0.2458 1
O14 O 0.9684 0.2526 0.4962 1
O15 O 0.9768 0.7674 0.7506 1
O16 O 0.9947 0.2712 0.0071 1
```

Largest 6 diffraction maxima, sorted by position, 2θ = 10–90°:
h k l  2θ/deg  I (rel.)
0 1 -2  18.3  100.0
-1 1 2  34.2  19.8
1 1 2  36.6  22.7
1 0 -4  41.1  34.4
1 0 4  44.6  51.0
2 0 0  62.2  16.1

Structure and theoretical PXRD pattern of Mn13Fe3O32 (DFT lattice parameters and positions (PBE+U); Cu Kα).
Lines closer than 0.1° are merged.

Atomic structure:
```
data_Mn13Fe3O32
_cell_length_a 11.7904
_cell_length_b 11.6869
_cell_length_c 10.1260
_cell_angle_alpha 90.00
_cell_angle_beta 124.93
_cell_angle_gamma 90.00
_symmetry_space_group_name_H-M 'C 1 2/m 1'
_symmetry_Int_Tables_number 12
_symmetry_space_group_name_Hall '-C 2y'
loop_
_atom_site_label
_atom_site_type_symbol
_atom_site_fract_x
_atom_site_fract_y
_atom_site_fract_z
_atom_site_occupancy
Mn1 Mn 0.0000 0.0000 0.0000 1
Mn2 Mn 0.2496 0.0000 0.0002 1
Mn3 Mn 0.2497 0.1250 0.2497 1
Mn4 Mn 0.2500 0.1253 0.7499 1
Mn5 Mn 0.2500 0.2500 0.5000 1
Fe1 Fe 0.0000 0.2499 0.5000 1
Fe2 Fe 0.0000 0.5000 0.0000 1
O1 O 0.1331 0.0000 0.2346 1
O2 O 0.1333 0.1093 0.0157 1
O3 O 0.1352 0.3888 0.0160 1
O4 O 0.1352 0.5000 0.2383 1
O5 O 0.1374 0.1379 0.5175 1
O6 O 0.1365 0.3615 0.5164 1
O7 O 0.1380 0.2495 0.7418 1
O8 O 0.1480 0.2499 0.2653 1
O9 O 0.1478 0.5000 0.7652 1
O10 O 0.1486 0.0000 0.7658 1
```

Largest 6 diffraction maxima, sorted by position, 2θ = 10–90°:
h k l  2θ/deg  I (rel.)
2 0 0  18.4  35.5
0 2 1  18.6  100.0
0 2 3  35.9  24.1
0 0 4  43.6  66.9
4 4 2  63.1  17.4
0 8 0  63.7  17.2